1.
# Pr2Nd2Ni15
Theoretical powder diffraction line list, a wavelength of 1.5418 Å. Input: a cell relaxed with GGA-PBE.

Structure:
```
data_Pr2Nd2Ni15
_space_group_name_H-M_alt 'P 1'
_space_group_IT_number 1
_cell_length_a 6.5728
_cell_length_b 6.5728
_cell_length_c 6.5728
_cell_angle_alpha 82.76
_cell_angle_beta 82.76
_cell_angle_gamma 82.76
loop_
_space_group_symop_operation_xyz
'x,y,z'
loop_
_atom_site_label
_atom_site_type_symbol
_atom_site_fract_x
_atom_site_fract_y
_atom_site_fract_z
_atom_site_occupancy
Pr1 Pr 0.1402 0.1402 0.1402 1
Pr2 Pr 0.8598 0.8598 0.8598 1
Nd1 Nd 0.3882 0.3882 0.3882 1
Nd2 Nd 0.6118 0.6118 0.6118 1
Ni1 Ni 0.0000 0.5000 0.5000 1
Ni2 Ni 0.1522 0.1522 0.6704 1
Ni3 Ni 0.1522 0.6704 0.1522 1
Ni4 Ni 0.1860 0.5000 0.8140 1
Ni5 Ni 0.1860 0.8140 0.5000 1
Ni6 Ni 0.3296 0.8478 0.8478 1
Ni7 Ni 0.5000 0.0000 0.5000 1
Ni8 Ni 0.5000 0.1860 0.8140 1
Ni9 Ni 0.5000 0.5000 0.0000 1
Ni10 Ni 0.5000 0.8140 0.1860 1
Ni11 Ni 0.6704 0.1522 0.1522 1
Ni12 Ni 0.8140 0.1860 0.5000 1
Ni13 Ni 0.8140 0.5000 0.1860 1
Ni14 Ni 0.8478 0.3296 0.8478 1
Ni15 Ni 0.8478 0.8478 0.3296 1
```

Main lines, low angle first (10° ≤ 2θ ≤ 80°):
Position (°2θ), d/Å, I (rel.)
30.5, 2.933, 55
35.8, 2.509, 92
37.0, 2.431, 63
41.6, 2.172, 100
41.8, 2.160, 94
42.6, 2.122, 95
47.0, 1.934, 63
75.9, 1.254, 36

***

2.
# NaSnPd14
Theoretical powder diffraction line list, a wavelength of 1.5418 Å. Input: a cell relaxed with GGA-PBE.

Structure:
```
data_NaSnPd14
_space_group_name_H-M_alt 'P 1'
_space_group_IT_number 1
_cell_length_a 5.6502
_cell_length_b 5.6502
_cell_length_c 7.9295
_cell_angle_alpha 90.00
_cell_angle_beta 90.00
_cell_angle_gamma 90.00
loop_
_space_group_symop_operation_xyz
'x,y,z'
loop_
_atom_site_label
_atom_site_type_symbol
_atom_site_fract_x
_atom_site_fract_y
_atom_site_fract_z
_atom_site_occupancy
Na1 Na 0.0000 0.0000 0.0000 1
Sn1 Sn 0.5000 0.5000 0.0000 1
Pd1 Pd 0.0000 0.0000 0.5000 1
Pd2 Pd 0.0000 0.5000 0.0000 1
Pd3 Pd 0.0000 0.5000 0.5000 1
Pd4 Pd 0.2514 0.2514 0.2527 1
Pd5 Pd 0.2514 0.2514 0.7473 1
Pd6 Pd 0.2514 0.7486 0.2527 1
Pd7 Pd 0.2514 0.7486 0.7473 1
Pd8 Pd 0.5000 0.0000 0.0000 1
Pd9 Pd 0.5000 0.0000 0.5000 1
Pd10 Pd 0.5000 0.5000 0.5000 1
Pd11 Pd 0.7486 0.2514 0.2527 1
Pd12 Pd 0.7486 0.2514 0.7473 1
Pd13 Pd 0.7486 0.7486 0.2527 1
Pd14 Pd 0.7486 0.7486 0.7473 1
```

Main lines, low angle first (10° ≤ 2θ ≤ 80°):
Position (°2θ), d/Å, I (rel.)
15.7, 5.650, 2
19.3, 4.602, 2
39.2, 2.301, 100
45.4, 1.998, 33
45.8, 1.982, 16
66.2, 1.413, 10
66.4, 1.407, 20
79.6, 1.204, 24

***

3.
# Pr2MnP3Rh12
Theoretical powder diffraction line list, a wavelength of 1.5418 Å. Input: a cell relaxed with GGA-PBE.

Structure:
```
data_Pr2MnP3Rh12
_space_group_name_H-M_alt 'P 1'
_space_group_IT_number 1
_cell_length_a 7.0903
_cell_length_b 7.0903
_cell_length_c 7.0903
_cell_angle_alpha 73.24
_cell_angle_beta 73.24
_cell_angle_gamma 73.24
loop_
_space_group_symop_operation_xyz
'x,y,z'
loop_
_atom_site_label
_atom_site_type_symbol
_atom_site_fract_x
_atom_site_fract_y
_atom_site_fract_z
_atom_site_occupancy
Pr1 Pr 0.1071 0.1071 0.1071 1
Pr2 Pr 0.8929 0.8929 0.8929 1
Mn1 Mn 0.5000 0.5000 0.5000 1
P1 P 0.0000 0.5000 0.5000 1
P2 P 0.5000 0.0000 0.5000 1
P3 P 0.5000 0.5000 0.0000 1
Rh1 Rh 0.1402 0.6434 0.6434 1
Rh2 Rh 0.1698 0.1698 0.5874 1
Rh3 Rh 0.1698 0.5874 0.1698 1
Rh4 Rh 0.3566 0.3566 0.8598 1
Rh5 Rh 0.3566 0.8598 0.3566 1
Rh6 Rh 0.4126 0.8302 0.8302 1
Rh7 Rh 0.5874 0.1698 0.1698 1
Rh8 Rh 0.6434 0.1402 0.6434 1
Rh9 Rh 0.6434 0.6434 0.1402 1
Rh10 Rh 0.8302 0.4126 0.8302 1
Rh11 Rh 0.8302 0.8302 0.4126 1
Rh12 Rh 0.8598 0.3566 0.3566 1
```

Main lines, low angle first (10° ≤ 2θ ≤ 80°):
Position (°2θ), d/Å, I (rel.)
25.0, 3.563, 14
31.5, 2.843, 21
32.9, 2.725, 14
33.8, 2.655, 100
34.4, 2.606, 26
42.8, 2.115, 80
53.7, 1.706, 21
55.6, 1.654, 16

***

4.
# Cs2Ag2I5
Theoretical powder diffraction line list, a wavelength of 1.5418 Å. Input: a cell relaxed with GGA-PBE.

Structure:
```
data_Cs2Ag2I5
_space_group_name_H-M_alt 'P 1'
_space_group_IT_number 1
_cell_length_a 8.2945
_cell_length_b 8.2945
_cell_length_c 9.3382
_cell_angle_alpha 101.67
_cell_angle_beta 101.67
_cell_angle_gamma 41.59
loop_
_space_group_symop_operation_xyz
'x,y,z'
loop_
_atom_site_label
_atom_site_type_symbol
_atom_site_fract_x
_atom_site_fract_y
_atom_site_fract_z
_atom_site_occupancy
Cs1 Cs 0.0990 0.0990 0.2901 1
Cs2 Cs 0.9010 0.9010 0.7099 1
Ag1 Ag 0.3413 0.3413 0.1268 1
Ag2 Ag 0.6587 0.6587 0.8732 1
I1 I 0.1821 0.1821 0.8976 1
I2 I 0.3563 0.3563 0.4294 1
I3 I 0.5000 0.5000 0.0000 1
I4 I 0.6437 0.6437 0.5706 1
I5 I 0.8179 0.8179 0.1024 1
```

Main lines, low angle first (10° ≤ 2θ ≤ 80°):
Position (°2θ), d/Å, I (rel.)
19.5, 4.548, 33
23.4, 3.795, 100
24.4, 3.650, 96
26.7, 3.342, 94
30.4, 2.945, 85
34.1, 2.630, 56
38.7, 2.326, 74
46.3, 1.962, 46